This entry pairs a crystal structure of MgCdMoO4 with its computed XRD peak list. Radiation: Cu Ka. Structure: DFT lattice parameters and positions (GGA+U).

Cell and atoms:
abc: 6.2577 6.4234 9.1714
angles: 90.00 90.00 90.00
Space group Imma (No. 74)
Unique sites:
1 Mg 0.0000 0.2500 0.1388 [4 per cell]
2 Cd 0.2500 0.2500 0.7500 [4 per cell]
3 Mo 0.0000 0.0000 0.5000 [4 per cell]
4 O 0.0000 0.0076 0.2781 [8 per cell]
5 O 0.2285 0.2500 0.4926 [8 per cell]

Most intense lines, 10 to 90 degrees two-theta, most intense first:
h k l	d/Å	2θ/deg	I (rel.)
1 0 1	5.169	17.15	100
0 1 1	5.261	16.85	98
2 2 0	2.241	40.24	82
2 1 1	2.689	33.32	81
2 2 4	1.603	57.50	71
1 2 1	2.728	32.83	62
0 2 2	2.631	34.08	49
0 0 4	2.293	39.29	42
2 0 2	2.585	34.71	42
0 1 3	2.760	32.43	41